# 1
InHg2Pd8: theoretical powder diffractogram (Cu Kα), based on a PBE-relaxed structure.

```
data_InHg2Pd8
_chemical_formula_sum 'In2 Hg4 Pd16'
_space_group_name_H-M_alt 'I m m m'
_space_group_IT_number 71
_space_group_name_Hall '-I 2 2'
_cell_length_a 3.996
_cell_length_b 8.118
_cell_length_c 11.976
_cell_angle_alpha 90.00
_cell_angle_beta 90.00
_cell_angle_gamma 90.00
loop_
_atom_site_label
_atom_site_type_symbol
_atom_site_fract_x
_atom_site_fract_y
_atom_site_fract_z
In1 In 0.000 0.000 0.000
Hg1 Hg 0.000 0.000 0.349
Pd1 Pd 0.000 0.246 0.168
Pd2 Pd 0.000 0.261 0.500
Pd3 Pd 0.000 0.500 0.329
```

Peak list (10 most intense, 15° ≤ 2θ ≤ 90°, sorted by position)
Position (°2θ), I/Imax, index
23.47, 5, 1 0 1
24.84, 14, 1 1 0
38.85, 100, 1 2 3
44.65, 17, 0 4 0
45.41, 31, 2 0 0
65.58, 20, 2 4 0
66.18, 9, 2 0 6
78.37, 12, 1 6 3
79.46, 22, 3 2 3
83.38, 10, 2 4 6


# 2
In2HgPd3: theoretical powder diffractogram (Cu Kα), based on a PBE-relaxed structure.

```
data_In2HgPd3
_chemical_formula_sum 'In2 Hg1 Pd3'
_space_group_name_H-M_alt 'P 4/m m m'
_space_group_IT_number 123
_space_group_name_Hall '-P 4 2'
_cell_length_a 3.330
_cell_length_b 3.330
_cell_length_c 9.740
_cell_angle_alpha 90.00
_cell_angle_beta 90.00
_cell_angle_gamma 90.00
loop_
_atom_site_label
_atom_site_type_symbol
_atom_site_fract_x
_atom_site_fract_y
_atom_site_fract_z
In1 In 0.000 0.000 0.167
Hg1 Hg 0.000 0.000 0.500
Pd1 Pd 0.500 0.500 0.000
Pd2 Pd 0.500 0.500 0.322
```

Peak list (10 most intense, 15° ≤ 2θ ≤ 90°, sorted by position)
Position (°2θ), I/Imax, index
28.32, 4, 1 0 1
32.57, 3, 1 0 2
38.22, 53, 1 1 0
38.73, 100, 1 0 3
55.16, 18, 2 0 0
56.70, 8, 0 0 6
69.43, 35, 2 1 3
70.45, 16, 1 1 6
81.80, 6, 2 2 0
83.09, 10, 2 0 6


# 3
InHgPd6: theoretical powder diffractogram (Cu Kα), based on a PBE-relaxed structure.

```
data_InHgPd6
_chemical_formula_sum 'In1 Hg1 Pd6'
_space_group_name_H-M_alt 'P -6 m 2'
_space_group_IT_number 187
_space_group_name_Hall 'P -6 2'
_cell_length_a 5.7272
_cell_length_b 5.7272
_cell_length_c 4.6687
_cell_angle_alpha 90.00
_cell_angle_beta 90.00
_cell_angle_gamma 120.00
loop_
_atom_site_label
_atom_site_type_symbol
_atom_site_fract_x
_atom_site_fract_y
_atom_site_fract_z
In1 In 0.0000 0.0000 0.0000
Hg1 Hg 0.6667 0.3333 0.5000
Pd1 Pd 0.0036 0.5018 0.0000
Pd2 Pd 0.1682 0.3363 0.5000
```

Peak list (10 most intense, 15° ≤ 2θ ≤ 90°, sorted by position)
Position (°2θ), I/Imax, index
26.21, 5, 1 0 1
36.22, 24, 2 0 0
38.57, 27, 0 0 2
41.22, 100, 2 0 1
53.94, 15, 2 0 2
65.15, 17, 2 2 0
71.58, 20, 2 0 3
78.34, 20, 2 2 2
80.08, 14, 4 0 1
89.50, 4, 4 0 2


# 4
In2Hg2Pd7: theoretical powder diffractogram (Cu Kα), based on a PBE-relaxed structure.

```
data_In2Hg2Pd7
_chemical_formula_sum 'In4 Hg4 Pd14'
_space_group_name_H-M_alt 'C m m m'
_space_group_IT_number 65
_space_group_name_Hall '-C 2 2'
_cell_length_a 7.737
_cell_length_b 9.240
_cell_length_c 6.300
_cell_angle_alpha 90.00
_cell_angle_beta 90.00
_cell_angle_gamma 90.00
loop_
_atom_site_label
_atom_site_type_symbol
_atom_site_fract_x
_atom_site_fract_y
_atom_site_fract_z
In1 In 0.000 0.209 0.000
Hg1 Hg 0.181 0.500 0.500
Pd1 Pd 0.000 0.000 0.286
Pd2 Pd 0.000 0.500 0.000
Pd3 Pd 0.250 0.250 0.277
```

Peak list (10 most intense, 15° ≤ 2θ ≤ 90°, sorted by position)
Position (°2θ), I/Imax, index
23.88, 52, 0 2 1
27.05, 69, 2 0 1
32.18, 38, 1 1 2
34.46, 29, 0 2 2
36.16, 25, 3 1 0
38.98, 86, 0 4 0
41.83, 100, 2 2 2
42.69, 41, 1 3 2
48.24, 36, 3 3 1
72.62, 26, 0 4 4


# 5
In2Hg2Pd5: theoretical powder diffractogram (Cu Kα), based on a PBE-relaxed structure.

```
data_In2Hg2Pd5
_chemical_formula_sum 'In8 Hg8 Pd20'
_space_group_name_H-M_alt 'I m a 2'
_space_group_IT_number 46
_cell_length_a 14.176
_cell_length_b 5.279
_cell_length_c 9.053
_cell_angle_alpha 90.00
_cell_angle_beta 90.00
_cell_angle_gamma 90.00
loop_
_space_group_symop_operation_xyz
'x,y,z'
'-x,-y,z'
'-x+1/2,y,z'
'x+1/2,-y,z'
'x+1/2,y+1/2,z+1/2'
'-x+1/2,-y+1/2,z+1/2'
'-x,y+1/2,z+1/2'
'x,-y+1/2,z+1/2'
loop_
_atom_site_label
_atom_site_type_symbol
_atom_site_fract_x
_atom_site_fract_y
_atom_site_fract_z
In1 In 0.131 0.045 0.000
Hg1 Hg 0.000 0.000 0.499
Hg2 Hg 0.250 0.555 0.001
Pd1 Pd 0.050 0.249 0.749
Pd2 Pd 0.148 0.748 0.751
Pd3 Pd 0.250 0.249 0.752
```

Peak list (10 most intense, 15° ≤ 2θ ≤ 90°, sorted by position)
Position (°2θ), I/Imax, index
31.99, 100, 4 1 1
35.97, 26, 5 1 0
39.52, 86, 0 2 2
39.83, 49, 0 0 4
41.28, 56, 5 1 2
42.93, 43, 4 1 3
59.99, 16, 4 1 5
62.08, 14, 5 3 0
72.10, 14, 0 2 6
76.34, 16, 5 3 4


# 6
SrInHgPd3: theoretical powder diffractogram (Cu Kα), based on a PBE-relaxed structure.

```
data_SrInHgPd3
_chemical_formula_sum 'Sr4 In4 Hg4 Pd12'
_space_group_name_H-M_alt 'C m c m'
_space_group_IT_number 63
_space_group_name_Hall '-C 2c 2'
_cell_length_a 6.413
_cell_length_b 12.911
_cell_length_c 6.606
_cell_angle_alpha 90.00
_cell_angle_beta 90.00
_cell_angle_gamma 90.00
loop_
_atom_site_label
_atom_site_type_symbol
_atom_site_fract_x
_atom_site_fract_y
_atom_site_fract_z
Sr1 Sr 0.000 0.178 0.250
In1 In 0.000 0.142 0.750
Hg1 Hg 0.000 0.414 0.250
Pd1 Pd 0.000 0.354 0.750
Pd2 Pd 0.213 0.000 0.000
```

Peak list (10 most intense, 15° ≤ 2θ ≤ 90°, sorted by position)
Position (°2θ), I/Imax, index
27.00, 23, 0 0 2
27.82, 25, 2 0 0
30.40, 21, 0 2 2
30.83, 25, 0 4 1
31.20, 39, 2 2 0
39.02, 61, 0 4 2
39.15, 100, 2 0 2
39.62, 54, 2 4 0
40.04, 23, 1 5 1
42.00, 27, 2 4 1


Q: Number 2 is which compound?
A: In2HgPd3


Copy entry 4 word for word.
In2Hg2Pd7: theoretical powder diffractogram (Cu Kα), based on a PBE-relaxed structure.

```
data_In2Hg2Pd7
_chemical_formula_sum 'In4 Hg4 Pd14'
_space_group_name_H-M_alt 'C m m m'
_space_group_IT_number 65
_space_group_name_Hall '-C 2 2'
_cell_length_a 7.737
_cell_length_b 9.240
_cell_length_c 6.300
_cell_angle_alpha 90.00
_cell_angle_beta 90.00
_cell_angle_gamma 90.00
loop_
_atom_site_label
_atom_site_type_symbol
_atom_site_fract_x
_atom_site_fract_y
_atom_site_fract_z
In1 In 0.000 0.209 0.000
Hg1 Hg 0.181 0.500 0.500
Pd1 Pd 0.000 0.000 0.286
Pd2 Pd 0.000 0.500 0.000
Pd3 Pd 0.250 0.250 0.277
```

Peak list (10 most intense, 15° ≤ 2θ ≤ 90°, sorted by position)
Position (°2θ), I/Imax, index
23.88, 52, 0 2 1
27.05, 69, 2 0 1
32.18, 38, 1 1 2
34.46, 29, 0 2 2
36.16, 25, 3 1 0
38.98, 86, 0 4 0
41.83, 100, 2 2 2
42.69, 41, 1 3 2
48.24, 36, 3 3 1
72.62, 26, 0 4 4